1.
Diffraction record for Tb2HoNi2. The X-ray powder pattern is theoretical, not measured: it uses a crystal structure in Alexandria, relaxed with PBE and λ = 1.5418 Å (Cu Kα).
Peak positions follow from Bragg's law for the DFT cell and can differ from measured ones.

Most intense lines, 5° ≤ 2θ ≤ 70°, by angle:
2theta  I_rel
28.6  774
29.4  517
29.6  426
32.8  658
33.5  1000
35.3  589

```
Tb2HoNi2
1.0
5.6570 -2.8944 0.0000
5.6570 2.8944 0.0000
-1.3705 0.0000 6.9981
Tb Ho Ni
4 2 4
Direct
0.0498 0.2681 0.1540
0.2681 0.0498 0.6540
0.7319 0.9502 0.3460
0.9502 0.7319 0.8460
0.4098 0.5902 0.2500
0.5902 0.4098 0.7500
0.2000 0.4780 0.4892
0.4780 0.2000 0.9892
0.5220 0.8000 0.0108
0.8000 0.5220 0.5108
```

2.
Diffraction record for Tb12HoNi6. The X-ray powder pattern is theoretical, not measured: it uses a crystal structure in Alexandria, relaxed with PBE and λ = 1.5418 Å (Cu Kα).
Peak positions follow from Bragg's law for the DFT cell and can differ from measured ones.

Most intense lines, 5° ≤ 2θ ≤ 70°, by angle:
2theta  I_rel
28.6  502
31.4  328
34.0  1000
46.9  237
54.2  324
57.5  331

```
Tb12HoNi6
1.0
-4.9369 4.9369 4.9369
4.9369 -4.9369 4.9369
4.9369 4.9369 -4.9369
Tb Ho Ni
12 1 6
Direct
0.1269 0.3112 0.8158
0.1842 0.4954 0.3112
0.1842 0.8731 0.6888
0.3112 0.1842 0.4954
0.3112 0.8158 0.1269
0.4954 0.3112 0.1842
0.5046 0.6888 0.8158
0.6888 0.1842 0.8731
0.6888 0.8158 0.5046
0.8158 0.1269 0.3112
0.8158 0.5046 0.6888
0.8731 0.6888 0.1842
0.0000 0.0000 0.0000
0.1234 0.5000 0.6234
0.3766 0.8766 0.5000
0.5000 0.3766 0.8766
0.5000 0.6234 0.1234
0.6234 0.1234 0.5000
0.8766 0.5000 0.3766
```

3.
Diffraction record for Tb2HoNi2. The X-ray powder pattern is theoretical, not measured: it uses a crystal structure in Alexandria, relaxed with PBE and λ = 1.5418 Å (Cu Kα).
Peak positions follow from Bragg's law for the DFT cell and can differ from measured ones.

Most intense lines, 5° ≤ 2θ ≤ 70°, by angle:
2theta  I_rel
26.5  264
28.5  578
32.4  291
32.7  429
34.2  1000
44.0  370

```
Tb2HoNi2
1.0
5.6648 -1.9075 0.0000
5.6648 1.9075 0.0000
-1.6114 0.0000 5.3570
Tb Ho Ni
2 1 2
Direct
0.1536 0.1536 0.1084
0.8464 0.8464 0.8916
0.5000 0.5000 0.5000
0.1973 0.1973 0.6227
0.8027 0.8027 0.3773
```

4.
Diffraction record for TbHo6Ni3. The X-ray powder pattern is theoretical, not measured: it uses a crystal structure in Alexandria, relaxed with PBE and λ = 1.5418 Å (Cu Kα).
Peak positions follow from Bragg's law for the DFT cell and can differ from measured ones.

Most intense lines, 5° ≤ 2θ ≤ 70°, by angle:
2theta  I_rel
28.9  475
30.4  787
32.2  582
33.4  562
34.7  1000
36.2  732

```
TbHo6Ni3
1.0
5.4590 -6.4648 0.0000
5.4590 6.4648 0.0000
0.0000 0.0000 7.0208
Tb Ho Ni
2 12 6
Direct
0.1804 0.8196 0.5000
0.8196 0.1804 0.0000
0.0818 0.4650 0.7298
0.1301 0.2046 0.3776
0.2046 0.1301 0.8776
0.2733 0.7267 0.0382
0.4650 0.0818 0.2298
0.4685 0.5315 0.3844
0.5315 0.4685 0.8844
0.5350 0.9182 0.7298
0.7267 0.2733 0.5382
0.7954 0.8699 0.3776
0.8699 0.7954 0.8776
0.9182 0.5350 0.2298
0.0820 0.9180 0.1691
0.1989 0.4122 0.0941
0.4122 0.1989 0.5941
0.5878 0.8011 0.0941
0.8011 0.5878 0.5941
0.9180 0.0820 0.6691
```

5.
Diffraction record for HoTcNi4. The X-ray powder pattern is theoretical, not measured: it uses a crystal structure in Alexandria, relaxed with PBE and λ = 1.5418 Å (Cu Kα).
Peak positions follow from Bragg's law for the DFT cell and can differ from measured ones.

Most intense lines, 5° ≤ 2θ ≤ 70°, by angle:
2theta  I_rel
22.3  89
25.8  38
36.8  545
43.4  1000
45.4  203
66.2  193

```
HoTcNi4
1.0
0.0000 3.4571 3.4571
3.4571 0.0000 3.4571
3.4571 3.4571 0.0000
Ho Tc Ni
1 1 4
Direct
0.0000 0.0000 0.0000
0.7500 0.7500 0.7500
0.3753 0.3753 0.3753
0.3753 0.3753 0.8741
0.3753 0.8741 0.3753
0.8741 0.3753 0.3753
```

6.
Diffraction record for HoTh2Ni. The X-ray powder pattern is theoretical, not measured: it uses a crystal structure in Alexandria, relaxed with PBE and λ = 1.5418 Å (Cu Kα).
Peak positions follow from Bragg's law for the DFT cell and can differ from measured ones.

Most intense lines, 5° ≤ 2θ ≤ 70°, by angle:
2theta  I_rel
30.6  1000
31.3  628
31.7  687
33.0  552
33.2  616
34.6  695

```
HoTh2Ni
1.0
6.9900 0.0000 0.0000
0.0000 9.9516 0.0000
0.0000 0.0000 6.1654
Ho Th Ni
4 8 4
Direct
0.0469 0.2500 0.1594
0.4531 0.7500 0.6594
0.5469 0.2500 0.3406
0.9531 0.7500 0.8406
0.1839 0.0634 0.6549
0.1839 0.4366 0.6549
0.3161 0.5634 0.1549
0.3161 0.9366 0.1549
0.6839 0.0634 0.8451
0.6839 0.4366 0.8451
0.8161 0.5634 0.3451
0.8161 0.9366 0.3451
0.1083 0.7500 0.3986
0.3917 0.2500 0.8986
0.6083 0.7500 0.1014
0.8917 0.2500 0.6014
```

7.
Diffraction record for Ho8TlNi2. The X-ray powder pattern is theoretical, not measured: it uses a crystal structure in Alexandria, relaxed with PBE and λ = 1.5418 Å (Cu Kα).
Peak positions follow from Bragg's law for the DFT cell and can differ from measured ones.

Most intense lines, 5° ≤ 2θ ≤ 70°, by angle:
2theta  I_rel
27.0  233
30.8  576
32.1  777
33.4  505
34.5  1000
38.3  227

```
Ho8TlNi2
1.0
4.2854 -6.6428 0.0000
4.2854 6.6428 0.0000
-1.3053 0.0000 5.1499
Ho Tl Ni
8 1 2
Direct
0.0763 0.3336 0.5760
0.2479 0.7521 0.0000
0.3336 0.0763 0.5760
0.3923 0.3923 0.1967
0.6077 0.6077 0.8033
0.6664 0.9237 0.4240
0.7521 0.2479 0.0000
0.9237 0.6664 0.4240
0.0000 0.0000 0.0000
0.3048 0.6952 0.5000
0.6952 0.3048 0.5000
```

8.
Diffraction record for Ho12TlNi5. The X-ray powder pattern is theoretical, not measured: it uses a crystal structure in Alexandria, relaxed with PBE and λ = 1.5418 Å (Cu Kα).
Peak positions follow from Bragg's law for the DFT cell and can differ from measured ones.

Most intense lines, 5° ≤ 2θ ≤ 70°, by angle:
2theta  I_rel
30.2  354
32.5  1000
34.7  635
35.0  639
35.7  348
60.6  330

```
Ho12TlNi5
1.0
-4.6643 4.7513 4.9219
4.6643 -4.7513 4.9219
4.6643 4.7513 -4.9219
Ho Tl Ni
12 1 5
Direct
0.0227 0.2136 0.8091
0.1818 0.2927 0.4745
0.1818 0.7073 0.8892
0.3220 0.0168 0.6948
0.3220 0.6272 0.3052
0.4045 0.2136 0.1909
0.5955 0.7864 0.8091
0.6780 0.3728 0.6948
0.6780 0.9832 0.3052
0.8182 0.2927 0.1108
0.8182 0.7073 0.5255
0.9773 0.7864 0.1909
0.5000 0.5000 0.0000
0.0000 0.0000 0.0000
0.1235 0.6235 0.5000
0.3641 0.0000 0.3641
0.6359 0.0000 0.6359
0.8765 0.3765 0.5000
```

9.
Diffraction record for Ho2TmNi. The X-ray powder pattern is theoretical, not measured: it uses a crystal structure in Alexandria, relaxed with PBE and λ = 1.5418 Å (Cu Kα).
Peak positions follow from Bragg's law for the DFT cell and can differ from measured ones.

Most intense lines, 5° ≤ 2θ ≤ 70°, by angle:
2theta  I_rel
31.4  882
31.7  1000
32.5  601
32.9  673
34.4  359
35.6  509

```
Ho2TmNi
1.0
6.7812 0.0000 0.0000
0.0000 9.4859 0.0000
0.0000 0.0000 6.2678
Ho Tm Ni
8 4 4
Direct
0.1801 0.0654 0.1789
0.1801 0.4346 0.1789
0.3199 0.5654 0.6789
0.3199 0.9346 0.6789
0.6801 0.0654 0.3211
0.6801 0.4346 0.3211
0.8199 0.5654 0.8211
0.8199 0.9346 0.8211
0.0340 0.2500 0.6391
0.4660 0.7500 0.1391
0.5340 0.2500 0.8609
0.9660 0.7500 0.3609
0.1079 0.7500 0.9504
0.3921 0.2500 0.4504
0.6079 0.7500 0.5496
0.8921 0.2500 0.0496
```

10.
Diffraction record for Y3HoNi. The X-ray powder pattern is theoretical, not measured: it uses a crystal structure in Alexandria, relaxed with PBE and λ = 1.5418 Å (Cu Kα).
Peak positions follow from Bragg's law for the DFT cell and can differ from measured ones.

Most intense lines, 5° ≤ 2θ ≤ 70°, by angle:
2theta  I_rel
7.1  461
31.3  1000
32.1  396
32.3  655
33.4  657
35.0  537

```
Y3HoNi
1.0
6.0597 -1.8164 0.0000
6.0597 1.8164 0.0000
-5.9452 0.0000 12.5025
Y Ho Ni
6 2 2
Direct
0.0000 0.0000 0.0000
0.0442 0.0442 0.5978
0.2654 0.2654 0.4806
0.6212 0.6212 0.8417
0.6937 0.6937 0.2400
0.8307 0.8307 0.7239
0.3147 0.3147 0.0828
0.4814 0.4814 0.3560
0.3165 0.3165 0.8742
0.9942 0.9942 0.2093
```

11.
Diffraction record for Y2HoNi2. The X-ray powder pattern is theoretical, not measured: it uses a crystal structure in Alexandria, relaxed with PBE and λ = 1.5418 Å (Cu Kα).
Peak positions follow from Bragg's law for the DFT cell and can differ from measured ones.

Most intense lines, 5° ≤ 2θ ≤ 70°, by angle:
2theta  I_rel
28.8  595
29.5  880
32.8  754
33.3  1000
35.3  775
38.3  652

```
Y2HoNi2
1.0
5.5924 -2.9123 0.0000
5.5924 2.9123 0.0000
-1.3847 0.0000 7.0301
Y Ho Ni
4 2 4
Direct
0.0483 0.2669 0.1533
0.2669 0.0483 0.6533
0.7331 0.9517 0.3467
0.9517 0.7331 0.8467
0.4090 0.5910 0.2500
0.5910 0.4090 0.7500
0.1995 0.4804 0.4905
0.4804 0.1995 0.9905
0.5196 0.8005 0.0095
0.8005 0.5196 0.5095
```

12.
Diffraction record for YHo2Ni2. The X-ray powder pattern is theoretical, not measured: it uses a crystal structure in Alexandria, relaxed with PBE and λ = 1.5418 Å (Cu Kα).
Peak positions follow from Bragg's law for the DFT cell and can differ from measured ones.

Most intense lines, 5° ≤ 2θ ≤ 70°, by angle:
2theta  I_rel
29.0  548
32.8  403
33.8  443
34.0  1000
40.7  485
44.0  394

```
YHo2Ni2
1.0
5.6869 -1.8926 0.0000
5.6869 1.8926 0.0000
-1.3284 0.0000 5.3059
Y Ho Ni
1 2 2
Direct
0.0000 0.0000 0.0000
0.3516 0.3516 0.4107
0.6484 0.6484 0.5893
0.2860 0.2860 0.8863
0.7140 0.7140 0.1137
```

13.
Diffraction record for Y2HoNi2. The X-ray powder pattern is theoretical, not measured: it uses a crystal structure in Alexandria, relaxed with PBE and λ = 1.5418 Å (Cu Kα).
Peak positions follow from Bragg's law for the DFT cell and can differ from measured ones.

Most intense lines, 5° ≤ 2θ ≤ 70°, by angle:
2theta  I_rel
29.1  439
31.3  395
32.4  353
33.3  340
34.1  1000
43.9  360

```
Y2HoNi2
1.0
5.7400 -1.8695 0.0000
5.7400 1.8695 0.0000
-1.3788 0.0000 5.3654
Y Ho Ni
2 1 2
Direct
0.1469 0.1469 0.0878
0.8531 0.8531 0.9122
0.5000 0.5000 0.5000
0.2106 0.2106 0.6102
0.7894 0.7894 0.3898
```